Entry 1:
Computed XRD peak list
Compound: PuPaTl2S4
Radiation: CuKα
Structure: a PBE-relaxed structure

The 10 most intense peaks (10° ≤ 2θ ≤ 90°), sorted by position:
(hkl)  two_theta  I (rel.)
0 0 2  23.53  35.0
2 0 0  26.40  24.6
1 1 -1  26.50  48.8
1 1 1  29.83  100.0
2 0 2  40.73  13.3
1 1 -3  40.88  26.3
3 1 -1  44.45  23.1
2 0 -4  47.67  19.4
3 1 -3  50.99  19.0
2 2 -2  54.58  12.3

Atomic structure:
```
data_PuPaTl2S4
_chemical_formula_sum 'Pu1 Pa1 Tl2 S4'
_cell_length_a 7.067
_cell_length_b 4.064
_cell_length_c 7.913
_cell_angle_alpha 90.00
_cell_angle_beta 107.13
_cell_angle_gamma 90.00
_symmetry_space_group_name_H-M 'P 1 2/m 1'
_symmetry_Int_Tables_number 10
loop_
_symmetry_equiv_pos_as_xyz
'x,y,z'
'-x,-y,-z'
'-x,y,-z'
'x,-y,z'
loop_
_atom_site_label
_atom_site_fract_x
_atom_site_fract_y
_atom_site_fract_z
Pu1 0.000 0.000 0.000
Pa1 0.500 0.500 0.000
Tl1 0.000 0.500 0.500
Tl2 0.500 0.000 0.500
S1 0.241 0.500 0.194
S2 0.275 0.000 0.806
```

---

Entry 2:
Computed XRD peak list
Compound: Pu2PaSb
Radiation: CuKα
Structure: a PBE-relaxed structure

The 10 most intense peaks (10° ≤ 2θ ≤ 90°), sorted by position:
(hkl)  two_theta  I (rel.)
1 1 1  21.70  5.2
2 2 0  33.82  100.0
0 4 0  38.78  17.8
2 0 2  39.49  32.2
2 4 2  56.54  23.1
4 0 0  57.19  5.9
2 6 0  67.05  14.3
2 2 4  67.95  11.6
4 2 2  68.10  13.4
4 4 0  71.25  6.2

Atomic structure:
```
data_Pu2PaSb
_chemical_formula_sum 'Pu8 Pa4 Sb4'
_cell_length_a 6.443
_cell_length_b 9.289
_cell_length_c 6.465
_cell_angle_alpha 90.00
_cell_angle_beta 90.00
_cell_angle_gamma 90.00
_symmetry_space_group_name_H-M 'C m m e'
_symmetry_Int_Tables_number 67
_symmetry_space_group_name_Hall '-C 2a 2'
loop_
_atom_site_label
_atom_site_fract_x
_atom_site_fract_y
_atom_site_fract_z
Pu1 0.000 0.250 0.219
Pu2 0.250 0.000 0.500
Pa1 0.250 0.000 0.000
Sb1 0.000 0.250 0.736
```

---

Entry 3:
Computed XRD peak list
Compound: Pu4PaSe6
Radiation: CuKα
Structure: a PBE-relaxed structure

The 10 most intense peaks (10° ≤ 2θ ≤ 90°), sorted by position:
(hkl)  two_theta  I (rel.)
0 2 5  25.17  91.5
1 1 3  26.28  33.8
0 2 6  29.04  30.3
1 3 1  29.71  42.2
1 3 2  30.66  100.0
1 3 3  32.19  62.9
1 1 8  41.99  48.6
0 6 4  43.25  31.0
1 5 4  43.46  34.8
2 0 0  44.56  37.9

Atomic structure:
```
data_Pu4PaSe6
_chemical_formula_sum 'Pu16 Pa4 Se24'
_cell_length_a 4.066
_cell_length_b 13.729
_cell_length_c 20.644
_cell_angle_alpha 90.00
_cell_angle_beta 90.00
_cell_angle_gamma 90.00
_symmetry_space_group_name_H-M 'C m c m'
_symmetry_Int_Tables_number 63
_symmetry_space_group_name_Hall '-C 2c 2'
loop_
_atom_site_label
_atom_site_fract_x
_atom_site_fract_y
_atom_site_fract_z
Pu1 0.000 0.088 0.131
Pu2 0.000 0.360 0.041
Pa1 0.000 0.155 0.750
Se1 0.000 0.000 0.000
Se2 0.000 0.196 0.250
Se3 0.000 0.272 0.591
Se4 0.000 0.448 0.169
```

---

Entry 4:
Computed XRD peak list
Compound: Pu4Pa3Se8
Radiation: CuKα
Structure: a PBE-relaxed structure

The 10 most intense peaks (10° ≤ 2θ ≤ 90°), sorted by position:
(hkl)  two_theta  I (rel.)
2 2 0  26.68  26.8
2 2 -2  26.83  26.5
0 0 2  30.89  50.7
0 4 0  31.04  100.0
4 0 0  44.19  19.2
0 4 2  44.34  38.0
4 4 -2  44.48  37.6
4 0 -4  44.58  18.7
4 4 0  54.96  20.3
4 4 -4  55.30  19.9

Atomic structure:
```
data_Pu4Pa3Se8
_chemical_formula_sum 'Pu8 Pa6 Se16'
_cell_length_a 11.511
_cell_length_b 11.535
_cell_length_c 8.129
_cell_angle_alpha 90.00
_cell_angle_beta 134.59
_cell_angle_gamma 90.00
_symmetry_space_group_name_H-M 'C 1 2/m 1'
_symmetry_Int_Tables_number 12
loop_
_symmetry_equiv_pos_as_xyz
'x,y,z'
'-x,-y,-z'
'-x,y,-z'
'x,-y,z'
'x+1/2,y+1/2,z'
'-x+1/2,-y+1/2,-z'
'-x+1/2,y+1/2,-z'
'x+1/2,-y+1/2,z'
loop_
_atom_site_label
_atom_site_fract_x
_atom_site_fract_y
_atom_site_fract_z
Pu1 0.000 0.000 0.000
Pu2 0.000 0.500 0.500
Pu3 0.250 0.250 0.000
Pa1 0.000 0.500 0.000
Pa2 0.250 0.250 0.500
Se1 0.000 0.244 0.500
Se2 0.000 0.249 0.000
Se3 0.244 0.000 0.502
Se4 0.246 0.000 0.989
```

---

Entry 5:
Computed XRD peak list
Compound: Pu3PaSe6
Radiation: CuKα
Structure: a PBE-relaxed structure

The 10 most intense peaks (10° ≤ 2θ ≤ 90°), sorted by position:
(hkl)  two_theta  I (rel.)
2 2 1  23.86  100.0
1 3 1  24.15  24.2
3 1 1  27.68  12.9
3 3 1  33.19  32.5
3 1 2  35.36  32.4
0 4 2  35.96  33.9
3 5 0  40.28  28.3
3 1 3  45.64  19.4
1 7 1  47.98  14.9
6 0 0  48.73  13.5

Atomic structure:
```
data_Pu3PaSe6
_chemical_formula_sum 'Pu12 Pa4 Se24'
_cell_length_a 11.213
_cell_length_b 13.980
_cell_length_c 7.142
_cell_angle_alpha 90.00
_cell_angle_beta 90.00
_cell_angle_gamma 90.00
_symmetry_space_group_name_H-M 'C m c 21'
_symmetry_Int_Tables_number 36
loop_
_symmetry_equiv_pos_as_xyz
'x,y,z'
'-x,-y,z+1/2'
'-x,y,z'
'x,-y,z+1/2'
'x+1/2,y+1/2,z'
'-x+1/2,-y+1/2,z+1/2'
'-x+1/2,y+1/2,z'
'x+1/2,-y+1/2,z+1/2'
loop_
_atom_site_label
_atom_site_fract_x
_atom_site_fract_y
_atom_site_fract_z
Pu1 0.000 0.094 0.000
Pu2 0.186 0.398 0.107
Pa1 0.000 0.338 0.613
Se1 0.000 0.265 0.258
Se2 0.000 0.493 0.870
Se3 0.166 0.034 0.298
Se4 0.167 0.237 0.816
```

---

Entry 6:
Computed XRD peak list
Compound: Pu2Pa3Se8
Radiation: CuKα
Structure: a PBE-relaxed structure

The 10 most intense peaks (10° ≤ 2θ ≤ 90°), sorted by position:
(hkl)  two_theta  I (rel.)
2 0 -1  15.19  30.8
1 1 1  19.84  70.3
3 1 -1  22.29  52.9
2 2 0  25.04  42.8
2 2 -1  26.37  45.7
4 2 -1  33.01  100.0
2 0 2  33.73  48.1
4 2 1  39.65  92.2
0 4 0  43.66  35.0
2 2 -3  44.60  83.9

Atomic structure:
```
data_Pu2Pa3Se8
_chemical_formula_sum 'Pu4 Pa6 Se16'
_cell_length_a 14.651
_cell_length_b 8.294
_cell_length_c 6.994
_cell_angle_alpha 90.00
_cell_angle_beta 109.27
_cell_angle_gamma 90.00
_symmetry_space_group_name_H-M 'C 1 2/m 1'
_symmetry_Int_Tables_number 12
loop_
_symmetry_equiv_pos_as_xyz
'x,y,z'
'-x,-y,-z'
'-x,y,-z'
'x,-y,z'
'x+1/2,y+1/2,z'
'-x+1/2,-y+1/2,-z'
'-x+1/2,y+1/2,-z'
'x+1/2,-y+1/2,z'
loop_
_atom_site_label
_atom_site_fract_x
_atom_site_fract_y
_atom_site_fract_z
Pu1 0.244 0.000 0.163
Pa1 0.000 0.243 0.500
Pa2 0.000 0.500 0.000
Se1 0.116 0.000 0.420
Se2 0.118 0.500 0.418
Se3 0.121 0.261 0.915
```

---

Entry 7:
Computed XRD peak list
Compound: PuPa2Se5
Radiation: CuKα
Structure: a PBE-relaxed structure

The 10 most intense peaks (10° ≤ 2θ ≤ 90°), sorted by position:
(hkl)  two_theta  I (rel.)
0 0 2  13.56  14.8
1 1 2  21.21  36.0
2 1 1  26.71  19.9
2 0 2  26.83  17.9
2 1 3  33.11  100.0
3 1 0  36.82  62.9
2 1 5  43.44  21.6
3 1 4  46.44  20.9
5 2 3  68.97  18.1
3 1 8  69.22  16.1

Atomic structure:
```
data_PuPa2Se5
_chemical_formula_sum 'Pu4 Pa8 Se20'
_cell_length_a 7.720
_cell_length_b 7.720
_cell_length_c 13.063
_cell_angle_alpha 90.00
_cell_angle_beta 90.00
_cell_angle_gamma 90.00
_symmetry_space_group_name_H-M 'I 4/m c m'
_symmetry_Int_Tables_number 140
_symmetry_space_group_name_Hall '-I 4 2c'
loop_
_atom_site_label
_atom_site_fract_x
_atom_site_fract_y
_atom_site_fract_z
Pu1 0.000 0.000 0.250
Pa1 0.150 0.350 0.000
Se1 0.000 0.000 0.000
Se2 0.155 0.345 0.355
```

---

Entry 8:
Computed XRD peak list
Compound: Pu2Pa3Se8
Radiation: CuKα
Structure: a PBE-relaxed structure

The 10 most intense peaks (10° ≤ 2θ ≤ 90°), sorted by position:
(hkl)  two_theta  I (rel.)
0 0 2  13.28  58.3
2 0 0  25.07  35.6
1 1 -3  30.48  100.0
2 0 2  30.70  49.0
3 1 -1  43.36  38.6
0 2 0  43.57  19.2
2 0 -6  43.72  18.2
1 1 5  44.25  35.4
2 2 2  54.24  20.1
1 3 -3  71.85  18.0

Atomic structure:
```
data_Pu2Pa3Se8
_chemical_formula_sum 'Pu2 Pa3 Se8'
_cell_length_a 7.241
_cell_length_b 4.155
_cell_length_c 13.582
_cell_angle_alpha 90.00
_cell_angle_beta 101.04
_cell_angle_gamma 90.00
_symmetry_space_group_name_H-M 'P 1 2/m 1'
_symmetry_Int_Tables_number 10
loop_
_symmetry_equiv_pos_as_xyz
'x,y,z'
'-x,-y,-z'
'-x,y,-z'
'x,-y,z'
loop_
_atom_site_label
_atom_site_fract_x
_atom_site_fract_y
_atom_site_fract_z
Pu1 0.249 0.000 0.250
Pa1 0.249 0.500 0.743
Pa2 0.500 0.000 0.000
Se1 0.116 0.500 0.362
Se2 0.138 0.000 0.872
Se3 0.373 0.000 0.632
Se4 0.373 0.500 0.121
```

---

Entry 9:
Computed XRD peak list
Compound: PuPa3Se6
Radiation: CuKα
Structure: a PBE-relaxed structure

The 10 most intense peaks (10° ≤ 2θ ≤ 90°), sorted by position:
(hkl)  two_theta  I (rel.)
1 0 -3  22.26  71.5
3 0 -1  22.99  71.5
2 0 2  25.73  88.5
2 1 1  30.04  91.4
2 0 -4  30.52  41.1
3 1 0  33.09  86.8
1 1 3  35.32  40.1
4 1 -3  40.76  100.0
5 0 1  44.21  74.3
0 2 0  45.35  64.3

Atomic structure:
```
data_PuPa3Se6
_chemical_formula_sum 'Pu2 Pa6 Se12'
_cell_length_a 11.605
_cell_length_b 3.999
_cell_length_c 11.987
_cell_angle_alpha 90.00
_cell_angle_beta 108.09
_cell_angle_gamma 90.00
_symmetry_space_group_name_H-M 'P 1 21/m 1'
_symmetry_Int_Tables_number 11
loop_
_symmetry_equiv_pos_as_xyz
'x,y,z'
'-x,-y,-z'
'-x,y+1/2,-z'
'x,-y+1/2,z'
loop_
_atom_site_label
_atom_site_fract_x
_atom_site_fract_y
_atom_site_fract_z
Pu1 0.047 0.250 0.191
Pa1 0.138 0.250 0.572
Pa2 0.317 0.750 0.001
Pa3 0.434 0.250 0.337
Se1 0.093 0.750 0.390
Se2 0.121 0.250 0.964
Se3 0.194 0.750 0.750
Se4 0.259 0.750 0.223
Se5 0.385 0.250 0.561
Se6 0.495 0.250 0.125
```

---

Entry 10:
Computed XRD peak list
Compound: PuPaTeSe2
Radiation: CuKα
Structure: a PBE-relaxed structure

The 10 most intense peaks (10° ≤ 2θ ≤ 90°), sorted by position:
(hkl)  two_theta  I (rel.)
1 0 1  20.65  51.7
1 1 0  27.78  52.2
1 0 3  28.03  100.0
1 1 2  30.88  44.1
1 1 4  38.86  58.9
1 0 5  39.05  59.0
2 0 0  39.69  63.3
2 1 3  49.29  43.4
2 1 5  56.90  40.2
2 0 8  69.81  23.3

Atomic structure:
```
data_PuPaTeSe2
_chemical_formula_sum 'Pu2 Pa2 Te2 Se4'
_cell_length_a 4.542
_cell_length_b 4.542
_cell_length_c 13.389
_cell_angle_alpha 90.00
_cell_angle_beta 90.00
_cell_angle_gamma 90.00
_symmetry_space_group_name_H-M 'I 4 m m'
_symmetry_Int_Tables_number 107
_symmetry_space_group_name_Hall 'I 4 -2'
loop_
_atom_site_label
_atom_site_fract_x
_atom_site_fract_y
_atom_site_fract_z
Pu1 0.000 0.000 0.000
Pa1 0.000 0.000 0.240
Te1 0.000 0.000 0.622
Se1 0.000 0.500 0.366
```

---

Entry 11:
Computed XRD peak list
Compound: PuPa4Si4
Radiation: CuKα
Structure: a PBE-relaxed structure

The 10 most intense peaks (10° ≤ 2θ ≤ 90°), sorted by position:
(hkl)  two_theta  I (rel.)
1 0 1  18.76  100.0
2 0 1  27.21  61.1
1 2 1  29.53  32.6
1 0 2  32.33  56.4
3 1 0  36.08  85.4
3 0 1  37.49  38.3
2 1 2  39.80  42.1
3 2 2  52.06  29.0
1 2 3  53.24  41.8
1 4 2  57.45  29.8

Atomic structure:
```
data_PuPa4Si4
_chemical_formula_sum 'Pu2 Pa8 Si8'
_cell_length_a 7.872
_cell_length_b 7.872
_cell_length_c 5.916
_cell_angle_alpha 90.00
_cell_angle_beta 90.00
_cell_angle_gamma 90.00
_symmetry_space_group_name_H-M 'P 42/n'
_symmetry_Int_Tables_number 86
loop_
_symmetry_equiv_pos_as_xyz
'x,y,z'
'-x,-y,-z'
'-y,x+1/2,z+1/2'
'y,-x+1/2,-z+1/2'
'-x+1/2,-y+1/2,z'
'x+1/2,y+1/2,-z'
'y+1/2,-x,z+1/2'
'-y+1/2,x,-z+1/2'
loop_
_atom_site_label
_atom_site_fract_x
_atom_site_fract_y
_atom_site_fract_z
Pu1 0.250 0.250 0.250
Pa1 0.042 0.821 0.613
Si1 0.047 0.152 0.890
```

---

Entry 12:
Computed XRD peak list
Compound: PuPaSi2
Radiation: CuKα
Structure: a PBE-relaxed structure

The 10 most intense peaks (10° ≤ 2θ ≤ 90°), sorted by position:
(hkl)  two_theta  I (rel.)
0 0 2  22.46  30.3
0 1 2  27.48  31.2
1 1 0  28.29  41.5
1 1 1  30.50  100.0
1 0 2  32.68  65.2
0 2 1  33.58  73.3
1 1 2  36.42  32.9
0 1 3  37.59  42.7
1 2 1  41.36  29.7
1 2 3  53.21  36.8

Atomic structure:
```
data_PuPaSi2
_chemical_formula_sum 'Pu2 Pa2 Si4'
_cell_length_a 3.797
_cell_length_b 5.669
_cell_length_c 7.917
_cell_angle_alpha 90.00
_cell_angle_beta 90.00
_cell_angle_gamma 90.00
_symmetry_space_group_name_H-M 'P m c 21'
_symmetry_Int_Tables_number 26
loop_
_symmetry_equiv_pos_as_xyz
'x,y,z'
'-x,-y,z+1/2'
'-x,y,z'
'x,-y,z+1/2'
loop_
_atom_site_label
_atom_site_fract_x
_atom_site_fract_y
_atom_site_fract_z
Pu1 0.000 0.140 0.000
Pa1 0.500 0.364 0.358
Si1 0.000 0.377 0.642
Si2 0.500 0.127 0.714
```